Cs3K5Rb3: computed X-ray powder pattern (Cu Kα X-rays), based on a PBE-relaxed structure.

Main lines, sorted by position (2θ from 15° to 90°):
hkl, d/Å, I (rel.)
2 0 1, 4.628, 58
2 1 0, 4.542, 57
2 1 1, 3.850, 100
0 0 2, 3.628, 30
2 2 1, 3.130, 24
2 1 2, 2.835, 34
3 3 1, 2.203, 19
2 1 3, 2.135, 19

Crystal structure
Lattice parameters (Å, degrees): 13.8756 13.8756 7.2564 90.00 90.00 120.00
Space group P-62m (No. 189)
Symmetry-distinct sites (fractional):
Cs1 0.0000 0.7720 0.0000
K1 0.0000 0.3722 0.0000
K2 0.3333 0.6667 0.0000
Rb1 0.0000 0.5391 0.5000